Record 1
Starting from a DFT-relaxed cell (PBE, the Materials Project), the X-ray powder pattern of La2U3O11 was computed for a wavelength of 1.5418 Å.

Peak list (10 most intense, 2θ from 10° to 90°, in order of rising 2θ)
(1 1 0), 2θ = 28.05°, I 100
(0 1 5), 2θ = 28.16°, I 93
(0 2 0), 2θ = 31.93°, I 26
(1 0 5), 2θ = 32.88°, I 48
(1 2 5), 2θ = 46.49°, I 69
(2 0 0), 2θ = 47.05°, I 17
(0 0 10), 2θ = 47.32°, I 15
(0 3 5), 2θ = 54.59°, I 32
(2 1 5), 2θ = 55.74°, I 29
(1 1 10), 2θ = 55.92°, I 28

Cell and atoms:
```
data_La2U3O11
_chemical_formula_sum 'La4 U6 O22'
_space_group_name_H-M_alt 'I m m m'
_space_group_IT_number 71
_space_group_name_Hall '-I 2 2'
_cell_length_a 3.8628
_cell_length_b 5.6059
_cell_length_c 19.2096
_cell_angle_alpha 90.00
_cell_angle_beta 90.00
_cell_angle_gamma 90.00
loop_
_atom_site_label
_atom_site_type_symbol
_atom_site_fract_x
_atom_site_fract_y
_atom_site_fract_z
La1 La 0.0000 0.0000 0.1998
U1 U 0.0000 0.0000 0.0000
U2 U 0.0000 0.0000 0.4065
O1 O 0.0000 0.2269 0.3144
O2 O 0.0000 0.2339 0.0951
O3 O 0.0000 0.2842 0.5000
O4 O 0.0000 0.5000 0.0000
```



Record 2
Starting from a DFT-relaxed cell (PBE, the Materials Project), the X-ray powder pattern of La2ZnO4 was computed for a wavelength of 1.5418 Å.

Peak list (10 most intense, 2θ from 10° to 90°, in order of rising 2θ)
(2 1 0), 2θ = 27.92°, I 100
(3 0 2), 2θ = 28.36°, I 41
(2 0 3), 2θ = 28.69°, I 48
(1 1 2), 2θ = 29.27°, I 23
(0 1 3), 2θ = 33.56°, I 26
(1 0 5), 2θ = 41.32°, I 23
(4 1 3), 2θ = 46.51°, I 19
(0 2 0), 2θ = 47.21°, I 20
(5 1 2), 2θ = 49.10°, I 39
(3 1 5), 2θ = 53.27°, I 23

Cell and atoms:
```
data_La2ZnO4
_chemical_formula_sum 'La8 Zn4 O16'
_space_group_name_H-M_alt 'P n m a'
_space_group_IT_number 62
_space_group_name_Hall '-P 2ac 2n'
_cell_length_a 11.4493
_cell_length_b 3.8506
_cell_length_c 11.1216
_cell_angle_alpha 90.00
_cell_angle_beta 90.00
_cell_angle_gamma 90.00
loop_
_atom_site_label
_atom_site_type_symbol
_atom_site_fract_x
_atom_site_fract_y
_atom_site_fract_z
La1 La 0.0976 0.2500 0.1879
La2 La 0.1123 0.2500 0.5903
Zn1 Zn 0.1901 0.2500 0.8814
O1 O 0.0174 0.2500 0.3897
O2 O 0.0284 0.2500 0.8399
O3 O 0.2227 0.7500 0.2347
O4 O 0.2421 0.7500 0.5345
```



Record 3
Starting from a DFT-relaxed cell (PBE, the Materials Project), the X-ray powder pattern of LaOs2 was computed for a wavelength of 1.5418 Å.

Peak list (10 most intense, 2θ from 10° to 90°, in order of rising 2θ)
(1 1 1), 2θ = 19.82°, I 17
(2 2 0), 2θ = 32.64°, I 18
(3 1 1), 2θ = 38.48°, I 100
(2 2 2), 2θ = 40.26°, I 51
(4 0 0), 2θ = 46.83°, I 10
(4 2 2), 2θ = 58.25°, I 7
(5 1 1), 2θ = 62.16°, I 33
(4 4 0), 2θ = 68.39°, I 30
(5 3 3), 2θ = 81.31°, I 12
(6 2 2), 2θ = 82.45°, I 20

Cell and atoms:
a = 7.7593 Å, b = 7.7593 Å, c = 7.7593 Å
α = 90.00°, β = 90.00°, γ = 90.00°
Space group Fd-3m (No. 227, origin choice 2)
One atom of each set of equivalent atoms:
1 La 0.1250 0.1250 0.1250
2 Os 0.0000 0.0000 0.5000